For Sc2Ni3Ge5, a crystal structure in Alexandria, relaxed with PBE gives the calculated powder diffraction line list in this record (λ = 1.5418 Å (Cu Kα)).
Lines closer than 0.1° are merged.

Most intense lines, 10 to 90 degrees two-theta, in order of rising 2θ:
2θ = 37.09°, intensity 100, hkl 1 3 2
2θ = 37.52°, intensity 66, hkl 1 7 1
2θ = 40.81°, intensity 18, hkl 0 10 1
2θ = 41.29°, intensity 22, hkl 1 9 0
2θ = 43.95°, intensity 21, hkl 0 4 3
2θ = 45.18°, intensity 55, hkl 2 0 0
2θ = 48.31°, intensity 13, hkl 1 11 0
2θ = 48.60°, intensity 23, hkl 1 3 3
2θ = 50.03°, intensity 41, hkl 1 9 2
2θ = 71.58°, intensity 18, hkl 1 13 3

Cell and atoms:
```
data_Sc2Ni3Ge5
_chemical_formula_sum 'Sc8 Ni12 Ge20'
_space_group_name_H-M_alt 'C m c 21'
_space_group_IT_number 36
_space_group_name_Hall 'C 2c -2'
_cell_length_a 4.013
_cell_length_b 23.468
_cell_length_c 6.601
_cell_angle_alpha 90.00
_cell_angle_beta 90.00
_cell_angle_gamma 90.00
loop_
_atom_site_label
_atom_site_fract_x
_atom_site_fract_y
_atom_site_fract_z
Sc1 0.000 0.023 0.000
Sc2 0.000 0.327 0.997
Ni1 0.000 0.104 0.733
Ni2 0.000 0.278 0.527
Ni3 0.000 0.448 0.780
Ge1 0.000 0.096 0.366
Ge2 0.000 0.203 0.804
Ge3 0.000 0.213 0.228
Ge4 0.000 0.383 0.486
Ge5 0.000 0.453 0.163
```